Diffraction record for Na2ZnNiF6. The powder X-ray diffraction pattern is computed, not measured: it uses a cell relaxed with GGA+U and Cu Kα (λ = 1.5418 Å).
Lines closer than 0.1° are merged.

Most intense lines, 2θ from 10° to 90°, sorted by position:
(1 1 -1), 22.7°, intensity 100; (0 2 0), 31.8°, intensity 23; (1 1 -3), 32.4°, intensity 90; (0 0 4), 46.4°, intensity 60; (2 2 -4), 52.3°, intensity 31; (3 1 -5), 58.4°, intensity 31

Structure:
```
Na2ZnNiF6
1.0
5.439 0.000 0.000
0.000 5.637 0.000
-5.425 0.000 7.825
Na Zn Ni F
4 2 2 12
Cartesian
-0.082 0.324 1.955
-2.795 2.495 5.867
2.808 3.142 1.957
0.096 5.313 5.870
2.720 0.000 0.000
0.007 2.818 3.912
-2.713 0.000 3.912
0.000 2.818 0.000
-4.369 1.140 7.390
-1.656 1.678 3.478
-3.787 3.938 7.395
-1.074 4.516 3.483
-2.136 0.212 5.850
0.577 2.607 1.938
-0.563 3.030 5.887
2.150 5.425 1.974
1.088 1.120 4.342
3.801 1.698 0.429
1.670 3.958 4.346
4.382 4.497 0.434
```